Entry 1:
The following is a simulated powder diffraction line list of VFe3Si4. It was derived from a DFT-relaxed cell (GGA-PBE, the Materials Project), using Cu Kα (weighted mean of Kα1 and Kα2).
Peak positions follow from Bragg's law for the DFT cell and can differ from measured ones.

abc: 6.3788 6.3788 7.9173
angles: 90.00 90.00 120.00
Space group R3 (No. 146, hexagonal axes)
One atom of each set of equivalent atoms:
V: 0.0000 0.0000 0.0000 [3 per cell]
Fe: 0.0175 0.2673 0.4845 [9 per cell]
Si: 0.0000 0.0000 0.6978 [3 per cell]
Si: 0.1047 0.6994 0.9200 [9 per cell]

Largest 8 diffraction maxima, in order of falling intensity, 2θ = 10–90°:
hkl 2 -1 3, 2θ 44.56, I = 100
hkl 2 1 1, 2θ 44.90, I = 79
hkl 1 2 2, 2θ 49.35, I = 45
hkl 3 0 0, 2θ 49.50, I = 26
hkl 1 1 0, 2θ 27.98, I = 23
hkl 0 2 1, 2θ 34.39, I = 21
hkl 1 0 4, 2θ 48.88, I = 19
hkl 4 0 4, 2θ 85.79, I = 14


Entry 2:
The following is a simulated powder diffraction line list of Y3Fe2Si3. It was derived from a DFT-relaxed cell (GGA-PBE, the Materials Project), using Cu Kα (weighted mean of Kα1 and Kα2).
Peak positions follow from Bragg's law for the DFT cell and can differ from measured ones.

abc: 4.081 10.610 13.655
angles: 90.00 90.00 90.00
Space group Cmcm (No. 63)
One atom of each set of equivalent atoms:
Y: 0.000 0.079 0.112 [8 per cell]
Y: 0.000 0.363 0.250 [4 per cell]
Fe: 0.000 0.215 0.580 [8 per cell]
Si: 0.000 0.326 0.750 [4 per cell]
Si: 0.000 0.373 0.040 [8 per cell]

Largest 8 diffraction maxima, in order of falling intensity, 2θ = 10–90°:
hkl 1 1 4, 2θ 35.31, I = 100
hkl 1 3 1, 2θ 34.18, I = 85
hkl 1 3 3, 2θ 39.08, I = 56
hkl 2 0 0, 2θ 44.39, I = 44
hkl 0 4 3, 2θ 39.31, I = 31
hkl 0 2 5, 2θ 37.02, I = 28
hkl 0 0 6, 2θ 39.60, I = 28
hkl 1 7 0, 2θ 65.72, I = 21


Entry 3:
The following is a simulated powder diffraction line list of Y4Fe29Si5. It was derived from a DFT-relaxed cell (GGA-PBE, the Materials Project), using Cu Kα (weighted mean of Kα1 and Kα2).
Peak positions follow from Bragg's law for the DFT cell and can differ from measured ones.

abc: 6.380 6.389 12.766
angles: 82.45 81.52 82.43
Space group P-1 (No. 2)
One atom of each set of equivalent atoms:
Y: 0.150 0.159 0.327 [2 per cell]
Y: 0.155 0.154 0.826 [2 per cell]
Fe: 0.000 0.500 0.000 [1 per cell]
Fe: 0.000 0.500 0.500 [1 per cell]
Fe: 0.156 0.664 0.329 [2 per cell]
Fe: 0.161 0.161 0.078 [2 per cell]
Fe: 0.161 0.655 0.829 [2 per cell]
Fe: 0.165 0.164 0.575 [2 per cell]
Fe: 0.194 0.810 0.499 [2 per cell]
Fe: 0.200 0.800 0.000 [2 per cell]
Fe: 0.203 0.501 0.149 [2 per cell]
Fe: 0.210 0.499 0.645 [2 per cell]
Fe: 0.345 0.840 0.170 [2 per cell]
Fe: 0.350 0.836 0.668 [2 per cell]
Fe: 0.497 0.809 0.348 [2 per cell]
Fe: 0.499 0.502 0.250 [2 per cell]
Fe: 0.500 0.000 0.000 [1 per cell]
Fe: 0.500 0.200 0.151 [2 per cell]
Si: 0.389 0.424 0.445 [2 per cell]
Si: 0.399 0.399 0.949 [2 per cell]
Si: 0.500 0.000 0.500 [1 per cell]

Largest 8 diffraction maxima, in order of falling intensity, 2θ = 10–90°:
hkl 2 2 -2, 2θ 43.42, I = 100
hkl 2 2 4, 2θ 43.51, I = 80
hkl 2 -1 4, 2θ 42.94, I = 69
hkl 0 0 6, 2θ 43.29, I = 66
hkl 0 3 0, 2θ 43.13, I = 41
hkl 3 1 -2, 2θ 48.91, I = 40
hkl 1 1 -4, 2θ 37.26, I = 38
hkl 1 -1 6, 2θ 48.38, I = 34


Entry 4:
The following is a simulated powder diffraction line list of YFe10Si2. It was derived from a DFT-relaxed cell (GGA-PBE, the Materials Project), using Cu Kα (weighted mean of Kα1 and Kα2).
Peak positions follow from Bragg's law for the DFT cell and can differ from measured ones.

abc: 4.752 8.302 8.360
angles: 90.00 90.00 90.00
Space group Immm (No. 71)
One atom of each set of equivalent atoms:
Y: 0.000 0.000 0.000 [2 per cell]
Fe: 0.000 0.000 0.362 [4 per cell]
Fe: 0.000 0.290 0.500 [4 per cell]
Fe: 0.000 0.355 0.000 [4 per cell]
Fe: 0.250 0.250 0.250 [8 per cell]
Si: 0.000 0.500 0.264 [4 per cell]

Largest 8 diffraction maxima, in order of falling intensity, 2θ = 10–90°:
hkl 2 0 2, 2θ 43.86, I = 100
hkl 1 3 2, 2θ 43.56, I = 98
hkl 1 3 0, 2θ 37.61, I = 49
hkl 2 2 2, 2θ 49.28, I = 46
hkl 0 0 4, 2θ 43.29, I = 36
hkl 0 2 4, 2θ 48.81, I = 33
hkl 0 4 0, 2θ 43.61, I = 29
hkl 3 3 2, 2θ 72.33, I = 20


Entry 5:
The following is a simulated powder diffraction line list of ZrFe4Si. It was derived from a DFT-relaxed cell (GGA-PBE, the Materials Project), using Cu Kα (weighted mean of Kα1 and Kα2).
Peak positions follow from Bragg's law for the DFT cell and can differ from measured ones.

abc: 6.706 6.706 6.706
angles: 90.00 90.00 90.00
Space group F-43m (No. 216)
One atom of each set of equivalent atoms:
Zr: 0.000 0.000 0.000 [4 per cell]
Fe: 0.123 0.123 0.623 [16 per cell]
Si: 0.250 0.250 0.250 [4 per cell]

Largest 8 diffraction maxima, in order of falling intensity, 2θ = 10–90°:
hkl 3 1 1, 2θ 44.82, I = 100
hkl 2 2 2, 2θ 46.93, I = 39
hkl 5 1 1, 2θ 73.36, I = 28
hkl 2 2 0, 2θ 37.95, I = 28
hkl 4 4 0, 2θ 81.13, I = 23
hkl 1 1 1, 2θ 22.97, I = 13
hkl 2 0 0, 2θ 26.58, I = 12
hkl 4 2 2, 2θ 68.55, I = 9


Entry 6:
The following is a simulated powder diffraction line list of Zr3Fe8Si. It was derived from a DFT-relaxed cell (GGA-PBE, the Materials Project), using Cu Kα (weighted mean of Kα1 and Kα2).
Peak positions follow from Bragg's law for the DFT cell and can differ from measured ones.

abc: 4.9215 4.9215 23.9915
angles: 90.00 90.00 120.00
Space group R3m (No. 160, hexagonal axes)
One atom of each set of equivalent atoms:
Zr: 0.0000 0.0000 0.0000 [3 per cell]
Zr: 0.0000 0.0000 0.1279 [3 per cell]
Zr: 0.0000 0.0000 0.6205 [3 per cell]
Fe: 0.0000 0.0000 0.3124 [3 per cell]
Fe: 0.0000 0.0000 0.8126 [3 per cell]
Fe: 0.0002 0.5001 0.5612 [9 per cell]
Fe: 0.0019 0.5010 0.0635 [9 per cell]
Si: 0.0000 0.0000 0.4981 [3 per cell]

Largest 8 diffraction maxima, in order of falling intensity, 2θ = 10–90°:
hkl 2 0 2, 2θ 43.15, I = 100
hkl 1 0 10, 2θ 43.28, I = 33
hkl 0 2 4, 2θ 45.15, I = 32
hkl 2 1 10, 2θ 70.36, I = 28
hkl 1 1 0, 2θ 36.51, I = 25
hkl 0 1 8, 2θ 36.64, I = 24
hkl 2 2 0, 2θ 77.60, I = 16
hkl 0 2 16, 2θ 77.90, I = 15


Copy entry 6 word for word.
The following is a simulated powder diffraction line list of Zr3Fe8Si. It was derived from a DFT-relaxed cell (GGA-PBE, the Materials Project), using Cu Kα (weighted mean of Kα1 and Kα2).
Peak positions follow from Bragg's law for the DFT cell and can differ from measured ones.

abc: 4.9215 4.9215 23.9915
angles: 90.00 90.00 120.00
Space group R3m (No. 160, hexagonal axes)
One atom of each set of equivalent atoms:
Zr: 0.0000 0.0000 0.0000 [3 per cell]
Zr: 0.0000 0.0000 0.1279 [3 per cell]
Zr: 0.0000 0.0000 0.6205 [3 per cell]
Fe: 0.0000 0.0000 0.3124 [3 per cell]
Fe: 0.0000 0.0000 0.8126 [3 per cell]
Fe: 0.0002 0.5001 0.5612 [9 per cell]
Fe: 0.0019 0.5010 0.0635 [9 per cell]
Si: 0.0000 0.0000 0.4981 [3 per cell]

Largest 8 diffraction maxima, in order of falling intensity, 2θ = 10–90°:
hkl 2 0 2, 2θ 43.15, I = 100
hkl 1 0 10, 2θ 43.28, I = 33
hkl 0 2 4, 2θ 45.15, I = 32
hkl 2 1 10, 2θ 70.36, I = 28
hkl 1 1 0, 2θ 36.51, I = 25
hkl 0 1 8, 2θ 36.64, I = 24
hkl 2 2 0, 2θ 77.60, I = 16
hkl 0 2 16, 2θ 77.90, I = 15